[1]
For La2Pd2Se, a cell relaxed with GGA-PBE gives the simulated powder diffractogram in this record (CuKα).
Intensities are scaled so that the largest is 1000.

Peak list (10 most intense, 2θ from 15° to 90°, low angle first)
30.15 deg, rel. 1000
35.49 deg, rel. 143
38.50 deg, rel. 128
41.24 deg, rel. 515
45.02 deg, rel. 166
51.92 deg, rel. 215
55.83 deg, rel. 69
63.32 deg, rel. 130
68.36 deg, rel. 186
75.17 deg, rel. 86

Structural model:
```
15
Lattice="4.379 0.000 0.000 -2.189 3.792 0.000 0.000 0.000 23.765" Properties=species:S:1:pos:R:3 pbc="T T T"
La 0.000 0.000 2.010
La 0.000 0.000 21.755
La 0.000 2.528 13.834
La 0.000 2.528 17.853
La 2.189 1.264 5.912
La 2.189 1.264 9.931
Pd 0.000 0.000 7.474
Pd 0.000 0.000 16.292
Pd 0.000 2.528 8.370
Pd 0.000 2.528 23.317
Pd 2.189 1.264 0.448
Pd 2.189 1.264 15.395
Se 0.000 0.000 11.883
Se 0.000 2.528 3.961
Se 2.189 1.264 19.804
```


[2]
For La3YP4, a cell relaxed with GGA-PBE gives the simulated powder diffractogram in this record (CuKα).
Intensities are scaled so that the largest is 1000.

Peak list (10 most intense, 2θ from 15° to 90°, low angle first)
25.90 deg, rel. 691
29.99 deg, rel. 1000
42.93 deg, rel. 730
50.82 deg, rel. 343
53.26 deg, rel. 255
62.34 deg, rel. 118
68.65 deg, rel. 115
70.70 deg, rel. 269
78.65 deg, rel. 181
84.49 deg, rel. 98

Structural model:
```
16
Lattice="7.294 0.000 0.000 0.000 8.434 0.000 -2.436 0.000 6.877" Properties=species:S:1:pos:R:3 pbc="T T T"
La -0.609 1.042 1.719
La -1.827 3.143 5.158
La -0.609 5.291 1.719
La -1.827 7.391 5.158
La 3.038 3.145 1.719
La 1.820 5.288 5.158
Y 1.820 1.040 5.158
Y 3.038 7.394 1.719
P 0.621 3.121 3.474
P 1.839 5.313 0.036
P -0.541 1.010 6.873
P 0.676 7.423 3.434
P 4.182 1.010 3.443
P 5.400 7.423 0.005
P 3.020 3.121 6.842
P 4.238 5.313 3.403
```